Record 1
Theoretical PXRD pattern of Y4MgNi for λ = 1.5418 Å (Cu Kα), from a PBE-relaxed structure.
Lines closer than 0.1° are merged.

Largest 10 diffraction maxima, in order of falling intensity, 15 to 90 degrees two-theta:
| Position (°2θ) | d (Å) | I (rel.) |
| --- | --- | --- |
| 34.09 | 2.630 | 100 |
| 32.09 | 2.790 | 55 |
| 57.20 | 1.611 | 48 |
| 28.47 | 3.135 | 39 |
| 37.22 | 2.416 | 31 |
| 86.31 | 1.127 | 14 |
| 58.49 | 1.578 | 13 |
| 88.13 | 1.108 | 13 |
| 55.00 | 1.670 | 12 |
| 68.29 | 1.373 | 12 |

Cell and atoms:
```
Y4MgNi
1.0
0.0000 6.8329 6.8329
6.8329 0.0000 6.8329
6.8329 6.8329 0.0000
Y Mg Ni
16 4 4
Cartesian
6.8329 6.8329 2.5153
6.8329 2.5153 6.8329
11.1505 6.8329 6.8329
5.5171 5.5171 5.5171
8.1487 8.1487 5.5171
8.1487 5.5171 8.1487
10.2493 10.2493 7.6770
10.2493 7.6770 10.2493
12.8217 10.2493 10.2493
5.5171 8.1487 8.1487
2.5153 6.8329 6.8329
6.8329 11.1505 6.8329
6.8329 6.8329 11.1505
7.6770 10.2493 10.2493
10.2493 12.8217 10.2493
10.2493 10.2493 12.8217
2.3242 2.3242 2.3242
4.5087 4.5087 2.3242
4.5087 2.3242 4.5087
2.3242 4.5087 4.5087
8.3186 5.3472 5.3472
5.3472 8.3186 5.3472
5.3472 5.3472 8.3186
8.3186 8.3186 8.3186
```

Record 2
Theoretical PXRD pattern of YMg14Ni for λ = 1.5418 Å (Cu Kα), from a PBE-relaxed structure.
Lines closer than 0.1° are merged.

Largest 10 diffraction maxima, in order of falling intensity, 15 to 90 degrees two-theta:
| Position (°2θ) | d (Å) | I (rel.) |
| --- | --- | --- |
| 36.96 | 2.432 | 100 |
| 32.37 | 2.766 | 27 |
| 16.02 | 5.531 | 26 |
| 35.13 | 2.554 | 24 |
| 69.41 | 1.354 | 18 |
| 57.74 | 1.597 | 17 |
| 48.52 | 1.876 | 16 |
| 64.24 | 1.450 | 16 |
| 23.71 | 3.753 | 16 |
| 70.56 | 1.335 | 13 |

Cell and atoms:
```
YMg14Ni
1.0
6.3870 0.0000 0.0000
-3.1935 5.5313 0.0000
0.0000 0.0000 10.2170
Y Mg Ni
1 14 1
Cartesian
0.0000 0.0000 0.0000
-1.5375 2.7999 0.0000
0.0000 1.7662 2.7554
0.0000 1.7662 7.4616
-1.6640 4.6482 2.7554
-1.6640 4.6482 7.4616
1.5375 2.7999 0.0000
0.0000 5.4629 0.0000
3.1935 0.0375 5.1085
1.6292 2.7469 5.1085
3.1935 1.8438 2.4592
3.1935 1.8438 7.7578
1.6640 4.6482 2.7554
1.6640 4.6482 7.4616
4.7578 2.7469 5.1085
0.0000 0.0000 5.1085
```

Record 3
Theoretical PXRD pattern of YMg14Ni for λ = 1.5418 Å (Cu Kα), from a PBE-relaxed structure.
Lines closer than 0.1° are merged.

Largest 10 diffraction maxima, in order of falling intensity, 15 to 90 degrees two-theta:
| Position (°2θ) | d (Å) | I (rel.) |
| --- | --- | --- |
| 37.45 | 2.402 | 100 |
| 36.06 | 2.491 | 65 |
| 35.13 | 2.554 | 42 |
| 32.92 | 2.721 | 36 |
| 48.90 | 1.862 | 22 |
| 17.81 | 4.981 | 19 |
| 56.81 | 1.621 | 18 |
| 68.58 | 1.368 | 18 |
| 64.56 | 1.444 | 17 |
| 15.53 | 5.705 | 16 |

Cell and atoms:
```
YMg14Ni
1.0
10.2179 0.0000 0.0000
0.0000 3.0960 5.7055
0.0000 -3.0960 5.7055
Y Mg Ni
1 14 1
Cartesian
0.0000 0.0000 0.0000
0.0000 -1.4591 2.8930
0.0000 1.4591 2.8930
2.2016 0.0000 7.1837
2.5354 -1.5268 4.5144
2.5354 1.5268 4.5144
2.6734 0.0000 1.6963
5.1089 0.0000 5.5286
5.1089 -1.5202 8.3679
5.1089 1.5202 8.3679
5.1089 0.0000 11.1991
7.5445 0.0000 1.6963
7.6824 -1.5268 4.5144
7.6824 1.5268 4.5144
8.0162 0.0000 7.1837
0.0000 0.0000 5.3122
```